For Hf8In2Ga3, the GGA-PBE geometry in Alexandria gives the calculated PXRD pattern in this record (Cu Kα (λ = 1.5418 Å)).
Peak positions follow from Bragg's law for the DFT cell and can differ from measured ones.

Main lines, by angle (2θ = 10–80°):
| two_theta | d/Å | Rel. int. | index |
| --- | --- | --- | --- |
| 25.45 | 3.500 | 18 | 0 4 0 |
| 27.61 | 3.231 | 31 | 2 0 1 |
| 37.90 | 2.374 | 100 | 2 4 1 |
| 39.08 | 2.305 | 24 | 4 0 0 |
| 39.79 | 2.265 | 23 | 0 0 2 |
| 57.00 | 1.616 | 16 | 4 0 2 |
| 70.03 | 1.344 | 16 | 6 4 1 |
| 70.98 | 1.328 | 16 | 2 4 3 |

Structural model:
Cell: 9.219 14.000 4.531 Å, 90.00 90.00 90.00°
Space group Cmmm (No. 65)
One atom of each set of equivalent atoms:
Hf 0.000 0.111 0.000 (multiplicity 4)
Hf 0.000 0.372 0.000 (multiplicity 4)
Hf 0.246 0.379 0.500 (multiplicity 8)
In 0.000 0.240 0.500 (multiplicity 4)
Ga 0.000 0.500 0.500 (multiplicity 2)
Ga 0.249 0.500 0.000 (multiplicity 4)

=====

For Hf3InGa, the GGA-PBE geometry in Alexandria gives the calculated PXRD pattern in this record (Cu Kα (λ = 1.5418 Å)).
Peak positions follow from Bragg's law for the DFT cell and can differ from measured ones.

Main lines, by angle (2θ = 10–80°):
| two_theta | d/Å | Rel. int. | index |
| --- | --- | --- | --- |
| 31.11 | 2.875 | 15 | 2 0 1 |
| 35.80 | 2.508 | 21 | 2 -1 0 |
| 36.00 | 2.495 | 32 | 0 2 2 |
| 36.20 | 2.482 | 100 | 1 2 0 |
| 36.29 | 2.475 | 43 | 2 1 2 |
| 36.68 | 2.450 | 23 | -1 2 1 |
| 36.81 | 2.442 | 17 | 2 -1 1 |
| 38.79 | 2.322 | 35 | 2 0 -1 |

Structural model:
Cell: 5.836 5.849 6.998 Å, 72.46 72.83 85.66°
Space group P1 (No. 1)
One atom of each set of equivalent atoms:
Hf 0.000 0.000 0.000 (multiplicity 1)
Hf 0.027 0.486 0.006 (multiplicity 1)
Hf 0.520 0.224 0.157 (multiplicity 1)
Hf 0.588 0.793 0.899 (multiplicity 1)
Hf 0.674 0.647 0.342 (multiplicity 1)
Hf 0.866 0.098 0.433 (multiplicity 1)
In 0.179 0.616 0.327 (multiplicity 1)
In 0.286 0.896 0.600 (multiplicity 1)
Ga 0.390 0.306 0.708 (multiplicity 1)
Ga 0.812 0.390 0.723 (multiplicity 1)

=====

For Hf6In2Ga, the GGA-PBE geometry in Alexandria gives the calculated PXRD pattern in this record (Cu Kα (λ = 1.5418 Å)).
Peak positions follow from Bragg's law for the DFT cell and can differ from measured ones.

Main lines, by angle (2θ = 10–80°):
| two_theta | d/Å | Rel. int. | index |
| --- | --- | --- | --- |
| 23.28 | 3.821 | 15 | 1 1 0 |
| 26.86 | 3.319 | 15 | 0 2 0 |
| 26.98 | 3.304 | 30 | 1 0 3 |
| 38.45 | 2.341 | 100 | 1 2 3 |
| 38.61 | 2.332 | 20 | 2 0 0 |
| 55.63 | 1.652 | 14 | 2 0 6 |
| 69.47 | 1.353 | 14 | 2 4 0 |
| 69.75 | 1.348 | 14 | 3 2 3 |

Structural model:
Cell: 4.664 6.638 14.044 Å, 90.00 90.00 90.00°
Space group Immm (No. 71)
One atom of each set of equivalent atoms:
Hf 0.000 0.238 0.000 (multiplicity 4)
Hf 0.000 0.258 0.339 (multiplicity 8)
In 0.000 0.500 0.166 (multiplicity 4)
Ga 0.000 0.500 0.500 (multiplicity 2)

=====

For HfInGa, the GGA-PBE geometry in Alexandria gives the calculated PXRD pattern in this record (Cu Kα (λ = 1.5418 Å)).
Peak positions follow from Bragg's law for the DFT cell and can differ from measured ones.

Main lines, by angle (2θ = 10–80°):
| two_theta | d/Å | Rel. int. | index |
| --- | --- | --- | --- |
| 22.89 | 3.885 | 36 | 0 1 1 |
| 34.84 | 2.575 | 100 | 0 1 3 |
| 35.35 | 2.539 | 73 | 1 1 -1 |
| 36.24 | 2.479 | 33 | 1 0 2 |
| 36.96 | 2.432 | 26 | 0 0 4 |
| 37.77 | 2.382 | 59 | 1 1 1 |
| 42.24 | 2.139 | 44 | 1 1 -3 |
| 42.68 | 2.119 | 41 | 0 2 0 |

Structural model:
Cell: 3.215 4.237 9.858 Å, 90.00 99.25 90.00°
Space group P2_1/m (No. 11)
One atom of each set of equivalent atoms:
Hf 0.200 0.250 0.400 (multiplicity 2)
In 0.439 0.750 0.890 (multiplicity 2)
Ga 0.347 0.250 0.693 (multiplicity 2)